The following is a computed powder X-ray diffraction pattern of MgCuP4O12. It was derived from a crystal structure in Alexandria, relaxed with GGA-PBE, using a wavelength of 1.5418 Å.
Neutral-atom scattering factors, no anomalous dispersion.

Largest 10 diffraction maxima, by intensity, 5 to 70 degrees two-theta:
2θ (°)  I (rel.)
29.3  100.0
14.2  45.1
25.2  30.0
30.8  22.8
19.3  21.2
28.2  17.0
42.2  16.4
35.0  15.5
26.2  15.0
20.6  13.0

Structure:
```
MgCuP4O12
1.0
5.8617 -4.2431 0.0000
5.8617 4.2431 0.0000
-4.8981 0.0000 8.7921
Mg Cu P O
2 2 8 24
direct
0.0423 0.9577 0.7500
0.9577 0.0423 0.2500
0.0000 0.5000 0.5000
0.5000 0.0000 0.0000
0.2542 0.7297 0.0220
0.2703 0.7458 0.4780
0.2919 0.3174 0.7930
0.3174 0.2919 0.2930
0.6826 0.7081 0.7070
0.7081 0.6826 0.2070
0.7297 0.2542 0.5220
0.7458 0.2703 0.9780
0.0910 0.8388 0.0936
0.1258 0.2614 0.3003
0.1612 0.9090 0.4064
0.1770 0.7115 0.5773
0.2057 0.3598 0.6445
0.2090 0.5038 0.9224
0.2614 0.1258 0.8003
0.2885 0.8230 0.9227
0.3166 0.5336 0.3497
0.3598 0.2057 0.1445
0.4664 0.6834 0.1503
0.4962 0.7910 0.5776
0.5038 0.2090 0.4224
0.5336 0.3166 0.8497
0.6402 0.7943 0.8555
0.6834 0.4664 0.6503
0.7115 0.1770 0.0773
0.7386 0.8742 0.1997
0.7910 0.4962 0.0776
0.7943 0.6402 0.3555
0.8230 0.2885 0.4227
0.8388 0.0910 0.5936
0.8742 0.7386 0.6997
0.9090 0.1612 0.9064
```


The following is a computed powder X-ray diffraction pattern of MgCuP4Ru2O14. It was derived from a crystal structure in Alexandria, relaxed with GGA-PBE, using a wavelength of 1.5418 Å.
Neutral-atom scattering factors, no anomalous dispersion.

Largest 10 diffraction maxima, by intensity, 5 to 70 degrees two-theta:
2θ (°)  I (rel.)
28.7  100.0
28.9  73.6
17.7  68.0
26.1  54.9
22.1  53.7
16.8  52.6
19.3  47.5
35.8  42.5
45.1  35.4
29.9  33.8

Structure:
```
MgCuP4Ru2O14
1.0
5.0580 0.0000 0.0000
-2.0663 6.5250 0.0000
-0.2629 -0.4220 8.3747
Mg Cu P Ru O
1 1 4 2 14
direct
0.0000 0.0000 0.0000
0.5357 0.8009 0.6693
0.1667 0.0474 0.3763
0.5331 0.1439 0.9167
0.5663 0.4541 0.4550
0.9619 0.5502 0.9967
0.0482 0.3014 0.6800
0.5489 0.7953 0.1928
0.0479 0.0451 0.5423
0.0520 0.5532 0.8246
0.1809 0.5694 0.1279
0.2898 0.2098 0.8535
0.3481 0.9051 0.3690
0.3490 0.2791 0.3418
0.3829 0.5236 0.5813
0.3954 0.9749 0.0303
0.7003 0.6284 0.3491
0.7155 0.0614 0.7991
0.7512 0.3180 0.0245
0.7661 0.3542 0.5265
0.7845 0.7002 0.0099
0.9441 0.0164 0.2360
```


The following is a computed powder X-ray diffraction pattern of MgCuP4Ru2O14. It was derived from a crystal structure in Alexandria, relaxed with GGA-PBE, using a wavelength of 1.5418 Å.
Neutral-atom scattering factors, no anomalous dispersion.

Largest 10 diffraction maxima, by intensity, 5 to 70 degrees two-theta:
2θ (°)  I (rel.)
27.8  100.0
16.7  92.6
22.5  76.7
17.2  71.2
29.0  65.6
25.7  58.7
34.8  46.5
19.6  41.4
24.3  41.0
45.8  40.4

Structure:
```
MgCuP4Ru2O14
1.0
5.0541 0.0000 0.0000
-1.8622 6.5331 0.0000
-0.5073 -0.2516 8.7017
Mg Cu P Ru O
1 1 4 2 14
direct
0.0000 0.0000 0.0000
0.5381 0.0887 0.4363
0.1448 0.3550 0.1365
0.5279 0.4240 0.6548
0.5418 0.7433 0.2198
0.9307 0.8182 0.7332
0.0368 0.5852 0.4376
0.5287 0.0901 0.9322
0.0058 0.8351 0.5664
0.0656 0.3422 0.3032
0.1729 0.8448 0.8593
0.3190 0.5850 0.1051
0.3229 0.2024 0.1120
0.3269 0.5355 0.5907
0.3730 0.8187 0.3410
0.3981 0.2495 0.7574
0.6677 0.9177 0.1120
0.7014 0.3567 0.5288
0.7538 0.6401 0.2777
0.7549 0.5877 0.7642
0.7704 0.9684 0.7817
0.9120 0.3018 0.0102
```


The following is a computed powder X-ray diffraction pattern of MgCuP4Ru2O14. It was derived from a crystal structure in Alexandria, relaxed with GGA-PBE, using a wavelength of 1.5418 Å.
Neutral-atom scattering factors, no anomalous dispersion.

Largest 10 diffraction maxima, by intensity, 5 to 70 degrees two-theta:
2θ (°)  I (rel.)
16.3  100.0
28.5  52.9
37.6  48.0
19.7  41.7
30.0  35.4
25.9  30.9
36.1  26.4
22.6  23.5
17.8  21.7
33.3  19.9

Structure:
```
MgCuP4Ru2O14
1.0
4.9947 0.0000 0.0000
-1.8744 6.6005 0.0000
-0.6284 -0.7942 8.4799
Mg Cu P Ru O
1 1 4 2 14
direct
0.0000 0.0000 0.0000
0.1213 0.2767 0.7365
0.0942 0.7777 0.6443
0.0980 0.4413 0.0777
0.4756 0.8379 0.1880
0.7004 0.3757 0.5387
0.0876 0.1055 0.3629
0.5963 0.6064 0.8604
0.2033 0.9602 0.5531
0.2438 0.9494 0.1812
0.2743 0.3722 0.9487
0.3143 0.6771 0.6984
0.3234 0.5998 0.2021
0.4792 0.3137 0.4001
0.5975 0.8533 0.0248
0.5986 0.3616 0.7050
0.6911 0.9016 0.3273
0.8611 0.6116 0.5244
0.8896 0.5474 0.0201
0.9248 0.2545 0.5333
0.9342 0.8359 0.7862
0.9768 0.2454 0.1566
```


The following is a computed powder X-ray diffraction pattern of MgCuP4Ru2O14. It was derived from a crystal structure in Alexandria, relaxed with GGA-PBE, using a wavelength of 1.5418 Å.
Neutral-atom scattering factors, no anomalous dispersion.

Largest 10 diffraction maxima, by intensity, 5 to 70 degrees two-theta:
2θ (°)  I (rel.)
28.9  100.0
26.6  39.9
16.8  26.8
19.4  24.2
22.2  23.4
35.9  17.8
17.7  17.3
45.3  15.7
38.2  15.1
21.2  14.8

Structure:
```
MgCuP4Ru2O14
1.0
4.9740 0.0000 0.0000
-2.1583 6.5156 0.0000
-0.2143 -0.4512 8.3672
Mg Cu P Ru O
1 1 4 2 14
direct
0.0000 0.0000 0.0000
0.5971 0.4663 0.4516
0.1829 0.6998 0.1406
0.5323 0.8095 0.6659
0.6164 0.1284 0.2091
0.9607 0.2306 0.7337
0.0789 0.9647 0.4371
0.5737 0.4679 0.9338
0.0601 0.2259 0.5644
0.0914 0.6989 0.3122
0.1853 0.2441 0.8722
0.3065 0.9047 0.6232
0.3648 0.9499 0.1065
0.3701 0.5678 0.1152
0.4248 0.6352 0.7758
0.4759 0.1826 0.3593
0.7007 0.7552 0.5243
0.7215 0.2945 0.0920
0.7705 0.9903 0.7792
0.7783 0.3695 0.7507
0.8553 0.0313 0.2327
0.9525 0.6967 0.0092
```


The following is a computed powder X-ray diffraction pattern of MgCuPb2O6. It was derived from a crystal structure in Alexandria, relaxed with GGA-PBE, using a wavelength of 1.5418 Å.
Neutral-atom scattering factors, no anomalous dispersion.

Largest 10 diffraction maxima, by intensity, 5 to 70 degrees two-theta:
2θ (°)  I (rel.)
21.7  100.0
22.7  95.4
30.3  95.0
22.8  91.7
31.1  87.5
31.5  81.9
32.1  81.7
32.7  74.1
33.2  72.1
44.1  39.3

Structure:
```
MgCuPb2O6
1.0
5.4030 0.0000 0.0000
2.5993 4.8249 0.0000
0.0394 2.9976 4.8445
Mg Cu Pb O
1 1 2 6
direct
0.0000 0.0000 0.0000
0.5022 0.0037 0.5053
0.2179 0.5679 0.6417
0.7132 0.5703 0.1432
0.1141 0.5151 0.2937
0.3005 0.8243 0.7983
0.3941 0.8262 0.3120
0.6207 0.0886 0.7922
0.7855 0.0848 0.3085
0.9131 0.4576 0.8300
```


The following is a computed powder X-ray diffraction pattern of RbMgCuO2. It was derived from a crystal structure in Alexandria, relaxed with GGA-PBE, using a wavelength of 1.5418 Å.
Neutral-atom scattering factors, no anomalous dispersion.

Largest 10 diffraction maxima, by intensity, 5 to 70 degrees two-theta:
2θ (°)  I (rel.)
32.6  100.0
25.0  67.6
38.9  63.1
29.3  61.2
32.0  50.4
58.5  31.9
39.8  31.7
51.2  27.3
47.7  25.1
36.8  19.0

Structure:
```
RbMgCuO2
1.0
2.7956 -6.0956 0.0000
2.7956 6.0956 0.0000
0.0000 0.0000 5.0107
Rb Mg Cu O
2 2 2 4
direct
0.2500 0.7500 0.7539
0.7500 0.2500 0.2461
0.2500 0.2500 0.5000
0.7500 0.7500 0.5000
0.0000 0.0000 0.0000
0.5000 0.5000 0.0000
0.0882 0.9118 0.3038
0.4118 0.5882 0.3038
0.5882 0.4118 0.6962
0.9118 0.0882 0.6962
```


The following is a computed powder X-ray diffraction pattern of MgCuSO. It was derived from a crystal structure in Alexandria, relaxed with GGA-PBE, using a wavelength of 1.5418 Å.
Neutral-atom scattering factors, no anomalous dispersion.

Largest 10 diffraction maxima, by intensity, 5 to 70 degrees two-theta:
2θ (°)  I (rel.)
32.1  100.0
14.7  54.0
54.2  34.8
51.1  29.6
39.6  26.1
29.7  25.0
46.9  16.4
63.0  14.9
64.4  11.4
60.2  11.3

Structure:
```
MgCuSO
1.0
1.6922 0.9770 6.0192
-1.6922 0.9770 6.0192
0.0000 -1.9540 6.0192
Mg Cu S O
1 1 1 1
direct
0.0000 0.0000 0.0000
0.4687 0.4687 0.4687
0.8591 0.8591 0.8591
0.3564 0.3564 0.3564
```


The following is a computed powder X-ray diffraction pattern of Mg6CuSiO8. It was derived from a crystal structure in Alexandria, relaxed with GGA-PBE, using a wavelength of 1.5418 Å.
Neutral-atom scattering factors, no anomalous dispersion.

Largest 10 diffraction maxima, by intensity, 5 to 70 degrees two-theta:
2θ (°)  I (rel.)
42.2  100.0
61.0  52.9
42.0  46.4
36.3  32.8
61.2  28.5
20.7  16.1
29.4  13.9
10.3  12.1
43.5  10.0
37.8  7.3

Structure:
```
Mg6CuSiO8
1.0
4.2866 0.0000 0.0000
0.0000 4.2866 0.0000
0.0000 0.0000 8.5997
Mg Cu Si O
6 1 1 8
direct
0.0000 0.0000 0.0000
0.0000 0.0000 0.5000
0.0000 0.5000 0.2412
0.0000 0.5000 0.7588
0.5000 0.0000 0.2412
0.5000 0.0000 0.7588
0.5000 0.5000 0.0000
0.5000 0.5000 0.5000
0.0000 0.0000 0.2517
0.0000 0.0000 0.7483
0.0000 0.5000 0.0000
0.0000 0.5000 0.5000
0.5000 0.0000 0.0000
0.5000 0.0000 0.5000
0.5000 0.5000 0.2881
0.5000 0.5000 0.7119
```


Repeat the seventh record exactly.
The following is a computed powder X-ray diffraction pattern of RbMgCuO2. It was derived from a crystal structure in Alexandria, relaxed with GGA-PBE, using a wavelength of 1.5418 Å.
Neutral-atom scattering factors, no anomalous dispersion.

Largest 10 diffraction maxima, by intensity, 5 to 70 degrees two-theta:
2θ (°)  I (rel.)
32.6  100.0
25.0  67.6
38.9  63.1
29.3  61.2
32.0  50.4
58.5  31.9
39.8  31.7
51.2  27.3
47.7  25.1
36.8  19.0

Structure:
```
RbMgCuO2
1.0
2.7956 -6.0956 0.0000
2.7956 6.0956 0.0000
0.0000 0.0000 5.0107
Rb Mg Cu O
2 2 2 4
direct
0.2500 0.7500 0.7539
0.7500 0.2500 0.2461
0.2500 0.2500 0.5000
0.7500 0.7500 0.5000
0.0000 0.0000 0.0000
0.5000 0.5000 0.0000
0.0882 0.9118 0.3038
0.4118 0.5882 0.3038
0.5882 0.4118 0.6962
0.9118 0.0882 0.6962
```


Repeat the second record exactly.
The following is a computed powder X-ray diffraction pattern of MgCuP4Ru2O14. It was derived from a crystal structure in Alexandria, relaxed with GGA-PBE, using a wavelength of 1.5418 Å.
Neutral-atom scattering factors, no anomalous dispersion.

Largest 10 diffraction maxima, by intensity, 5 to 70 degrees two-theta:
2θ (°)  I (rel.)
28.7  100.0
28.9  73.6
17.7  68.0
26.1  54.9
22.1  53.7
16.8  52.6
19.3  47.5
35.8  42.5
45.1  35.4
29.9  33.8

Structure:
```
MgCuP4Ru2O14
1.0
5.0580 0.0000 0.0000
-2.0663 6.5250 0.0000
-0.2629 -0.4220 8.3747
Mg Cu P Ru O
1 1 4 2 14
direct
0.0000 0.0000 0.0000
0.5357 0.8009 0.6693
0.1667 0.0474 0.3763
0.5331 0.1439 0.9167
0.5663 0.4541 0.4550
0.9619 0.5502 0.9967
0.0482 0.3014 0.6800
0.5489 0.7953 0.1928
0.0479 0.0451 0.5423
0.0520 0.5532 0.8246
0.1809 0.5694 0.1279
0.2898 0.2098 0.8535
0.3481 0.9051 0.3690
0.3490 0.2791 0.3418
0.3829 0.5236 0.5813
0.3954 0.9749 0.0303
0.7003 0.6284 0.3491
0.7155 0.0614 0.7991
0.7512 0.3180 0.0245
0.7661 0.3542 0.5265
0.7845 0.7002 0.0099
0.9441 0.0164 0.2360
```